The following is a calculated X-ray powder pattern of DyZnCu6. It was derived from a crystal structure in Alexandria, relaxed with GGA-PBE, using Cu Kα (weighted mean of Kα1 and Kα2).
Lines closer than 0.1° are merged.

The 6 most intense peaks (15° ≤ 2θ ≤ 90°), by angle:
two_theta  I/Imax
25.81  14.4
36.82  46.4
41.36  80.2
45.52  100.0
69.42  16.7
72.44  47.6

Crystal structure
```
DyZnCu6
1.0
4.881 0.000 0.000
0.000 4.881 0.000
0.000 0.000 4.881
Dy Zn Cu
1 1 6
direct
0.000 0.000 0.000 Dy
0.500 0.500 0.500 Zn
0.000 0.258 0.500 Cu
0.000 0.742 0.500 Cu
0.258 0.500 0.000 Cu
0.500 0.000 0.258 Cu
0.500 0.000 0.742 Cu
0.742 0.500 0.000 Cu
```

---

The following is a calculated X-ray powder pattern of Li2Ho2Ag3. It was derived from a crystal structure in Alexandria, relaxed with GGA-PBE, using Cu Kα (weighted mean of Kα1 and Kα2).
Lines closer than 0.1° are merged.

The 6 most intense peaks (15° ≤ 2θ ≤ 90°), by angle:
two_theta  I/Imax
31.16  45.5
34.46  86.0
36.12  100.0
36.42  66.2
62.62  41.4
63.21  28.8

Crystal structure
```
Li2Ho2Ag3
1.0
1.806 -11.824 0.000
1.806 11.824 0.000
0.000 0.000 3.466
Li Ho Ag
2 2 3
direct
0.210 0.790 0.000 Li
0.790 0.210 0.000 Li
0.079 0.921 0.000 Ho
0.921 0.079 0.000 Ho
0.342 0.658 0.500 Ag
0.500 0.500 0.500 Ag
0.658 0.342 0.500 Ag
```